1.
Starting from the GGA-PBE geometry in the Materials Project, the powder X-ray diffraction pattern of Cu2HgI4 was calculated for λ = 1.5418 Å (Cu Kα).
Intensities are scaled so that the largest is 100.

Structural model:
abc: 6.2058 6.2058 12.5850
angles: 90.00 90.00 90.00
Space group I-42m (No. 121)
Inequivalent atoms, fractional coordinates:
Cu  0.0000  0.5000  0.2500 x4
Hg  0.0000  0.0000  0.0000 x2
I  0.2327  0.2327  0.3659 x8

Largest 8 diffraction maxima, sorted by position, 2θ = 5–70°:
2θ 15.9, I 19.8
2θ 24.7, I 100.0
2θ 25.6, I 15.1
2θ 33.1, I 16.4
2θ 40.8, I 49.1
2θ 41.1, I 24.1
2θ 48.1, I 15.3
2θ 48.6, I 29.8



2.
Starting from the GGA-PBE geometry in the Materials Project, the powder X-ray diffraction pattern of Cu2HgI4 was calculated for λ = 1.5418 Å (Cu Kα).
Intensities are scaled so that the largest is 100.

Structural model:
abc: 6.1523 6.1523 6.4398
angles: 90.00 90.00 90.00
Space group P-42m (No. 111)
Inequivalent atoms, fractional coordinates:
Cu  0.0000  0.5000  0.0000 x2
Hg  0.0000  0.0000  0.5000 x1
I  0.2638  0.2638  0.7712 x4

Largest 8 diffraction maxima, sorted by position, 2θ = 5–70°:
2θ 14.4, I 11.1
2θ 20.0, I 19.0
2θ 24.7, I 100.0
2θ 40.6, I 49.7
2θ 41.5, I 23.8
2θ 47.2, I 15.6
2θ 48.9, I 29.8
2θ 64.7, I 11.4



3.
Starting from the GGA-PBE geometry in the Materials Project, the powder X-ray diffraction pattern of Cu2HgI4 was calculated for λ = 1.5418 Å (Cu Kα).
Intensities are scaled so that the largest is 100.

Structural model:
abc: 7.4207 12.1493 19.4532
angles: 90.00 90.00 90.00
Space group Cccm (No. 66)
Inequivalent atoms, fractional coordinates:
Cu  0.0000  0.0000  0.0000 x4
Cu  0.2500  0.2500  0.0000 x4
Hg  0.2500  0.2500  0.5000 x4
I  0.0158  0.1651  0.0970 x16

Largest 8 diffraction maxima, sorted by position, 2θ = 5–70°:
2θ 9.1, I 100.0
2θ 14.0, I 32.9
2θ 14.6, I 27.2
2θ 17.2, I 15.2
2θ 30.3, I 16.2
2θ 31.2, I 18.4
2θ 33.8, I 19.9
2θ 39.8, I 15.0